Calculated PXRD pattern
Compound: LaPmPr2Sc
Radiation: a wavelength of 1.5418 Å
Structure: a DFT-relaxed cell (GGA-PBE, Alexandria)

Structural model:
abc: 6.3961 7.9562 6.7152
angles: 90.00 90.00 90.00
Element x y z (fractional)
1 La 0.2500 0.0000 0.1888
2 La 0.7500 0.0000 0.8112
3 Pm 0.2500 0.5000 0.0900
4 Pm 0.7500 0.5000 0.9100
5 Pr 0.2500 0.2056 0.7112
6 Pr 0.2500 0.7944 0.7112
7 Pr 0.7500 0.2056 0.2888
8 Pr 0.7500 0.7944 0.2888
9 Sc 0.0000 0.5000 0.5000
10 Sc 0.5000 0.5000 0.5000

Main lines, in order of rising 2θ (15° ≤ 2θ ≤ 90°):
| 2θ (°) | Rel. int. | hkl |
| --- | --- | --- |
| 26.0 | 13 | 0 2 1 |
| 26.5 | 10 | 0 0 2 |
| 27.9 | 41 | 2 0 0 |
| 28.9 | 21 | 0 1 2 |
| 29.6 | 100 | 1 2 1 |
| 30.1 | 36 | 1 0 2 |
| 38.5 | 20 | 2 2 1 |
| 38.9 | 14 | 2 0 2 |
| 39.1 | 16 | 1 3 1 |
| 50.4 | 23 | 3 2 1 |
| 55.6 | 18 | 1 3 3 |
| 80.1 | 10 | 0 3 5 |